(1)
For SiTcPt2, a DFT-relaxed cell (PBE, Alexandria) gives the computed X-ray diffraction stick pattern in this record (Cu Kα).
Intensities are scaled so that the largest is 100.

Structure:
```
data_SiTcPt2
_chemical_formula_sum 'Si1 Tc1 Pt2'
_cell_length_a 3.766
_cell_length_b 3.806
_cell_length_c 4.090
_cell_angle_alpha 90.00
_cell_angle_beta 90.00
_cell_angle_gamma 90.00
_symmetry_space_group_name_H-M 'P m m m'
_symmetry_Int_Tables_number 47
loop_
_symmetry_equiv_pos_as_xyz
'x,y,z'
'-x,-y,-z'
'-x,-y,z'
'x,y,-z'
'x,-y,-z'
'-x,y,z'
'-x,y,-z'
'x,-y,z'
loop_
_atom_site_label
_atom_site_type_symbol
_atom_site_fract_x
_atom_site_fract_y
_atom_site_fract_z
Si1 Si 0.000 0.000 0.000
Tc1 Tc 0.500 0.500 0.000
Pt1 Pt 0.000 0.500 0.500
Pt2 Pt 0.500 0.000 0.500
```

The 10 most intense peaks (10° ≤ 2θ ≤ 90°), in order of rising 2θ:
hkl	d/Å	Rel. int.
0 0 1	4.090	29
1 1 0	2.677	20
1 1 1	2.240	100
0 0 2	2.045	19
0 2 0	1.903	15
2 0 0	1.883	15
1 1 3	1.215	14
1 3 1	1.153	12
3 1 1	1.145	12
2 2 2	1.120	11



(2)
For SiTePt, a DFT-relaxed cell (PBE, Alexandria) gives the computed X-ray diffraction stick pattern in this record (Cu Kα).
Intensities are scaled so that the largest is 100.

Structure:
```
data_SiTePt
_chemical_formula_sum 'Si8 Te8 Pt8'
_cell_length_a 6.217
_cell_length_b 6.314
_cell_length_c 12.619
_cell_angle_alpha 90.00
_cell_angle_beta 90.00
_cell_angle_gamma 90.00
_symmetry_space_group_name_H-M 'P b c a'
_symmetry_Int_Tables_number 61
loop_
_symmetry_equiv_pos_as_xyz
'x,y,z'
'-x,-y,-z'
'-x+1/2,-y,z+1/2'
'x+1/2,y,-z+1/2'
'x+1/2,-y+1/2,-z'
'-x+1/2,y+1/2,z'
'-x,y+1/2,-z+1/2'
'x,-y+1/2,z+1/2'
loop_
_atom_site_label
_atom_site_type_symbol
_atom_site_fract_x
_atom_site_fract_y
_atom_site_fract_z
Si1 Si 0.129 0.167 0.061
Te1 Te 0.117 0.584 0.825
Pt1 Pt 0.025 0.687 0.614
```

The 10 most intense peaks (10° ≤ 2θ ≤ 90°), in order of rising 2θ:
hkl	d/Å	Rel. int.
1 1 2	3.626	100
0 0 4	3.155	67
2 0 0	3.109	42
0 2 1	3.062	68
2 1 1	2.723	43
2 0 4	2.215	42
1 1 5	2.193	27
0 2 5	1.970	44
1 1 6	1.900	63
3 1 2	1.880	47



(3)
For Th8Si3Te4Pt, a DFT-relaxed cell (PBE, Alexandria) gives the computed X-ray diffraction stick pattern in this record (Cu Kα).
Intensities are scaled so that the largest is 100.

Structure:
```
data_Th8Si3Te4Pt
_chemical_formula_sum 'Th24 Si9 Te12 Pt3'
_cell_length_a 8.6603
_cell_length_b 8.6603
_cell_length_c 21.9926
_cell_angle_alpha 90.00
_cell_angle_beta 90.00
_cell_angle_gamma 120.00
_symmetry_space_group_name_H-M 'R -3 m'
_symmetry_Int_Tables_number 166
_symmetry_space_group_name_Hall '-R 3 2"'
loop_
_atom_site_label
_atom_site_type_symbol
_atom_site_fract_x
_atom_site_fract_y
_atom_site_fract_z
Th1 Th 0.0000 0.0000 0.2376
Th2 Th 0.0030 0.5015 0.2377
Si1 Si 0.0000 0.5000 0.5000
Te1 Te 0.0000 0.0000 0.0000
Te2 Te 0.0000 0.5000 0.0000
Pt1 Pt 0.0000 0.0000 0.5000
```

The 10 most intense peaks (10° ≤ 2θ ≤ 90°), in order of rising 2θ:
hkl	d/Å	Rel. int.
2 0 2	3.549	22
0 2 4	3.098	100
2 0 5	2.854	10
2 0 8	2.217	32
2 2 0	2.165	40
4 0 4	1.775	20
0 4 8	1.549	11
2 2 12	1.399	10
2 4 4	1.373	18
4 2 8	1.260	11



(4)
For Th2Si7Pt12, a DFT-relaxed cell (PBE, Alexandria) gives the computed X-ray diffraction stick pattern in this record (Cu Kα).
Intensities are scaled so that the largest is 100.

Structure:
```
data_Th2Si7Pt12
_chemical_formula_sum 'Th2 Si7 Pt12'
_cell_length_a 10.0187
_cell_length_b 10.0187
_cell_length_c 4.0117
_cell_angle_alpha 90.00
_cell_angle_beta 90.00
_cell_angle_gamma 120.00
_symmetry_space_group_name_H-M 'P -6'
_symmetry_Int_Tables_number 174
loop_
_symmetry_equiv_pos_as_xyz
'x,y,z'
'-x+y,-x,-z'
'-y,x-y,z'
'x,y,-z'
'-x+y,-x,z'
'-y,x-y,-z'
loop_
_atom_site_label
_atom_site_type_symbol
_atom_site_fract_x
_atom_site_fract_y
_atom_site_fract_z
Th1 Th 0.0000 0.0000 0.0000
Th2 Th 0.3333 0.6667 0.5000
Si1 Si 0.0651 0.4407 0.0000
Si2 Si 0.2699 0.2212 0.5000
Si3 Si 0.6667 0.3333 0.5000
Pt1 Pt 0.0483 0.2561 0.5000
Pt2 Pt 0.1221 0.7107 0.0000
Pt3 Pt 0.4061 0.1916 0.0000
Pt4 Pt 0.5209 0.4568 0.5000
```

The 10 most intense peaks (10° ≤ 2θ ≤ 90°), in order of rising 2θ:
hkl	d/Å	Rel. int.
2 1 0	3.279	19
2 1 1	2.539	100
2 2 0	2.505	8
0 0 2	2.006	16
3 2 0	1.991	11
1 4 0	1.893	15
1 4 2	1.377	10
2 5 1	1.313	10
2 1 3	1.239	14
5 3 1	1.184	8



(5)
For Th2Si3Pt3, a DFT-relaxed cell (PBE, Alexandria) gives the computed X-ray diffraction stick pattern in this record (Cu Kα).
Intensities are scaled so that the largest is 100.

Structure:
```
data_Th2Si3Pt3
_chemical_formula_sum 'Th2 Si3 Pt3'
_cell_length_a 2.943
_cell_length_b 2.943
_cell_length_c 20.592
_cell_angle_alpha 90.00
_cell_angle_beta 90.00
_cell_angle_gamma 90.00
_symmetry_space_group_name_H-M 'P 4/m m m'
_symmetry_Int_Tables_number 123
_symmetry_space_group_name_Hall '-P 4 2'
loop_
_atom_site_label
_atom_site_type_symbol
_atom_site_fract_x
_atom_site_fract_y
_atom_site_fract_z
Th1 Th 0.000 0.000 0.247
Si1 Si 0.000 0.000 0.000
Si2 Si 0.000 0.000 0.387
Pt1 Pt 0.000 0.000 0.112
Pt2 Pt 0.000 0.000 0.500
```

The 10 most intense peaks (10° ≤ 2θ ≤ 90°), in order of rising 2θ:
hkl	d/Å	Rel. int.
0 0 3	6.864	37
1 0 0	2.943	100
1 0 3	2.705	17
0 0 8	2.574	29
1 0 5	2.395	16
1 1 0	2.081	39
1 0 8	1.938	51
1 1 8	1.618	29
2 1 0	1.316	23
2 1 8	1.172	21



(6)
For ThSi4Pt12, a DFT-relaxed cell (PBE, Alexandria) gives the computed X-ray diffraction stick pattern in this record (Cu Kα).
Intensities are scaled so that the largest is 100.

Structure:
```
data_ThSi4Pt12
_chemical_formula_sum 'Th2 Si8 Pt24'
_cell_length_a 8.434
_cell_length_b 8.434
_cell_length_c 8.434
_cell_angle_alpha 90.00
_cell_angle_beta 90.00
_cell_angle_gamma 90.00
_symmetry_space_group_name_H-M 'I m -3'
_symmetry_Int_Tables_number 204
_symmetry_space_group_name_Hall '-I 2 2 3'
loop_
_atom_site_label
_atom_site_type_symbol
_atom_site_fract_x
_atom_site_fract_y
_atom_site_fract_z
Th1 Th 0.000 0.000 0.000
Si1 Si 0.250 0.250 0.250
Pt1 Pt 0.000 0.340 0.162
```

The 10 most intense peaks (10° ≤ 2θ ≤ 90°), in order of rising 2θ:
hkl	d/Å	Rel. int.
3 0 1	2.667	100
3 1 2	2.254	46
4 2 2	1.722	13
4 3 1	1.654	26
5 3 0	1.446	13
6 0 0	1.406	17
5 2 3	1.368	6
6 1 3	1.244	19
5 4 3	1.193	6
7 3 0	1.107	9



(7)
For ThSi2Pt5, a DFT-relaxed cell (PBE, Alexandria) gives the computed X-ray diffraction stick pattern in this record (Cu Kα).
Intensities are scaled so that the largest is 100.

Structure:
```
data_ThSi2Pt5
_chemical_formula_sum 'Th2 Si4 Pt10'
_cell_length_a 4.009
_cell_length_b 7.022
_cell_length_c 9.795
_cell_angle_alpha 90.00
_cell_angle_beta 90.00
_cell_angle_gamma 90.00
_symmetry_space_group_name_H-M 'I m m m'
_symmetry_Int_Tables_number 71
_symmetry_space_group_name_Hall '-I 2 2'
loop_
_atom_site_label
_atom_site_type_symbol
_atom_site_fract_x
_atom_site_fract_y
_atom_site_fract_z
Th1 Th 0.000 0.000 0.000
Si1 Si 0.000 0.500 0.244
Pt1 Pt 0.000 0.204 0.353
Pt2 Pt 0.000 0.500 0.000
```

The 10 most intense peaks (10° ≤ 2θ ≤ 90°), in order of rising 2θ:
hkl	d/Å	Rel. int.
0 2 2	2.853	29
1 2 1	2.550	100
1 0 3	2.532	95
1 3 0	2.021	15
2 0 0	2.007	70
2 2 2	1.640	12
1 4 3	1.443	13
2 2 4	1.419	27
3 2 1	1.239	11
3 0 3	1.237	28



(8)
For TlSi2Pt2, a DFT-relaxed cell (PBE, Alexandria) gives the computed X-ray diffraction stick pattern in this record (Cu Kα).
Intensities are scaled so that the largest is 100.

Structure:
```
data_TlSi2Pt2
_chemical_formula_sum 'Tl2 Si4 Pt4'
_cell_length_a 3.979
_cell_length_b 3.979
_cell_length_c 11.777
_cell_angle_alpha 90.00
_cell_angle_beta 90.00
_cell_angle_gamma 90.00
_symmetry_space_group_name_H-M 'I 4/m m m'
_symmetry_Int_Tables_number 139
_symmetry_space_group_name_Hall '-I 4 2'
loop_
_atom_site_label
_atom_site_type_symbol
_atom_site_fract_x
_atom_site_fract_y
_atom_site_fract_z
Tl1 Tl 0.000 0.000 0.000
Si1 Si 0.000 0.500 0.250
Pt1 Pt 0.000 0.000 0.366
```

The 10 most intense peaks (10° ≤ 2θ ≤ 90°), in order of rising 2θ:
hkl	d/Å	Rel. int.
1 1 0	2.813	53
1 0 3	2.794	100
1 1 2	2.538	13
1 0 5	2.027	23
2 0 0	1.989	30
2 1 3	1.621	40
1 1 6	1.610	11
2 1 5	1.420	15
2 2 0	1.407	10
2 0 8	1.183	10



(9)
For Tm2Si12Pt7, a DFT-relaxed cell (PBE, Alexandria) gives the computed X-ray diffraction stick pattern in this record (Cu Kα).
Intensities are scaled so that the largest is 100.

Structure:
```
data_Tm2Si12Pt7
_chemical_formula_sum 'Tm2 Si12 Pt7'
_cell_length_a 10.0696
_cell_length_b 10.0696
_cell_length_c 3.9070
_cell_angle_alpha 90.00
_cell_angle_beta 90.00
_cell_angle_gamma 120.00
_symmetry_space_group_name_H-M 'P -3'
_symmetry_Int_Tables_number 147
loop_
_symmetry_equiv_pos_as_xyz
'x,y,z'
'-x,-y,-z'
'-y,x-y,z'
'y,-x+y,-z'
'-x+y,-x,z'
'x-y,x,-z'
loop_
_atom_site_label
_atom_site_type_symbol
_atom_site_fract_x
_atom_site_fract_y
_atom_site_fract_z
Tm1 Tm 0.3333 0.6667 0.2201
Si1 Si 0.0641 0.4418 0.7680
Si2 Si 0.1140 0.2668 0.2160
Pt1 Pt 0.0000 0.0000 0.0000
Pt2 Pt 0.1161 0.7069 0.6948
```

The 10 most intense peaks (10° ≤ 2θ ≤ 90°), in order of rising 2θ:
hkl	d/Å	Rel. int.
2 1 0	3.296	97
2 -1 1	3.087	65
2 0 1	2.909	96
1 2 1	2.519	100
1 3 1	2.056	31
1 4 0	1.904	89
5 -3 1	1.781	52
0 4 2	1.455	22
5 -1 2	1.363	24
2 1 3	1.211	20



(10)
For Tm2Si3Pt5, a DFT-relaxed cell (PBE, Alexandria) gives the computed X-ray diffraction stick pattern in this record (Cu Kα).
Intensities are scaled so that the largest is 100.

Structure:
```
data_Tm2Si3Pt5
_chemical_formula_sum 'Tm8 Si12 Pt20'
_cell_length_a 4.253
_cell_length_b 23.286
_cell_length_c 6.791
_cell_angle_alpha 90.00
_cell_angle_beta 90.00
_cell_angle_gamma 90.00
_symmetry_space_group_name_H-M 'C m c 21'
_symmetry_Int_Tables_number 36
loop_
_symmetry_equiv_pos_as_xyz
'x,y,z'
'-x,-y,z+1/2'
'-x,y,z'
'x,-y,z+1/2'
'x+1/2,y+1/2,z'
'-x+1/2,-y+1/2,z+1/2'
'-x+1/2,y+1/2,z'
'x+1/2,-y+1/2,z+1/2'
loop_
_atom_site_label
_atom_site_type_symbol
_atom_site_fract_x
_atom_site_fract_y
_atom_site_fract_z
Tm1 Tm 0.000 0.021 0.000
Tm2 Tm 0.000 0.326 0.021
Si1 Si 0.000 0.101 0.673
Si2 Si 0.000 0.273 0.589
Si3 Si 0.000 0.447 0.806
Pt1 Pt 0.000 0.107 0.307
Pt2 Pt 0.000 0.191 0.859
Pt3 Pt 0.000 0.227 0.274
Pt4 Pt 0.000 0.377 0.531
Pt5 Pt 0.000 0.451 0.200
```

The 10 most intense peaks (10° ≤ 2θ ≤ 90°), in order of rising 2θ:
hkl	d/Å	Rel. int.
1 5 1	2.850	24
1 1 2	2.636	20
0 6 2	2.555	23
1 3 2	2.511	100
1 7 1	2.445	82
1 9 0	2.210	23
0 10 1	2.203	19
2 0 0	2.126	49
0 4 3	2.110	24
3 3 2	1.290	24